# SrLiLa7Co2O16
Computed powder XRD pattern, Cu Kα (λ = 1.5418 Å). Input: a crystal structure in Alexandria, relaxed with PBE+U.
Kinematic intensities with the Lorentz-polarization factor, no thermal factor.

Structural model:
```
27
Lattice="6.8934 0.0000 0.0000 -2.0709 7.3216 0.0000 -2.0553 -0.7125 7.2935" Properties=species:S:1:pos:R:3 pbc="T T T"
Sr 0.0000 0.0000 0.0000
Li -0.5703 5.7879 2.2338
La -2.0314 3.2994 3.6481
La -1.0278 -0.2580 3.6732
La -2.9566 2.9434 7.2061
La 3.1811 1.0369 0.8363
La 2.1523 0.6263 4.6214
La 1.1776 4.3262 4.5611
La 2.2623 4.5822 0.9392
Co -1.4512 5.4499 5.9407
Co 0.6150 2.1566 2.2924
O 0.0684 -0.1181 5.9341
O -1.0027 5.6026 4.1475
O 0.0827 3.9306 2.2897
O 1.0973 2.3102 0.5257
O 0.1494 2.0503 4.0643
O 1.1776 0.3987 2.3142
O -0.8694 3.7090 5.9007
O 0.1851 6.0007 0.4374
O 0.3988 6.0287 6.4622
O 2.4912 2.7465 2.8239
O 1.7130 6.2493 3.1745
O 1.8108 2.2353 6.7927
O 4.2420 1.4021 5.0456
O 4.3278 5.2408 1.6438
O 3.5460 4.8187 5.3712
O 5.5923 1.5882 1.7885
```

The 10 most intense peaks (10° ≤ 2θ ≤ 90°), low angle first:
| h k l | 2theta | I (rel.) |
| --- | --- | --- |
| 1 -2 0 | 24.4 | 62 |
| 2 0 0 | 28.1 | 28 |
| 1 2 0 | 31.6 | 100 |
| 0 2 -2 | 33.0 | 39 |
| -1 2 2 | 33.6 | 38 |
| 2 -2 2 | 43.9 | 28 |
| 1 2 2 | 44.3 | 28 |
| 1 0 -4 | 47.8 | 39 |
| 3 2 0 | 56.1 | 18 |
| 4 0 0 | 58.1 | 25 |